Computed PXRD pattern of CaCeEu2 for a wavelength of 1.5418 Å, from the GGA-PBE geometry in Alexandria.

Structure:
```
data_CaCeEu2
_chemical_formula_sum 'Ca3 Ce3 Eu6'
_cell_length_a 3.7470
_cell_length_b 3.7470
_cell_length_c 37.8200
_cell_angle_alpha 90.00
_cell_angle_beta 90.00
_cell_angle_gamma 120.00
_space_group_name_H-M_alt 'R -3 m'
_space_group_IT_number 166
_space_group_name_Hall '-R 3 2"'
loop_
_atom_site_label
_atom_site_fract_x
_atom_site_fract_y
_atom_site_fract_z
Ca1 0.0000 0.0000 0.0000
Ce1 0.0000 0.0000 0.5000
Eu1 0.0000 0.0000 0.2472
```

Main lines, by angle (10 to 90 degrees two-theta):
2θ (°)	d [Å]	I (rel.)
28.3	3.152	35
29.1	3.069	100
33.5	2.675	68
47.6	1.911	24
48.6	1.874	24
56.3	1.634	14
57.2	1.610	29
57.6	1.599	14
60.3	1.535	12
78.7	1.216	12



Computed PXRD pattern of Li2CaCe2Ge2 for a wavelength of 1.5418 Å, from the GGA-PBE geometry in Alexandria.

Structure:
```
data_Li2CaCe2Ge2
_chemical_formula_sum 'Li6 Ca3 Ce6 Ge6'
_cell_length_a 4.4667
_cell_length_b 4.4667
_cell_length_c 26.7264
_cell_angle_alpha 90.00
_cell_angle_beta 90.00
_cell_angle_gamma 120.00
_space_group_name_H-M_alt 'R -3 m'
_space_group_IT_number 166
_space_group_name_Hall '-R 3 2"'
loop_
_atom_site_label
_atom_site_fract_x
_atom_site_fract_y
_atom_site_fract_z
Li1 0.0000 0.0000 0.0936
Ca1 0.0000 0.0000 0.5000
Ce1 0.0000 0.0000 0.3591
Ge1 0.0000 0.0000 0.2408
```

Main lines, by angle (10 to 90 degrees two-theta):
2θ (°)	d [Å]	I (rel.)
23.2	3.828	67
23.9	3.716	38
33.0	2.717	100
35.5	2.528	76
40.4	2.233	89
41.0	2.199	35
41.7	2.166	22
53.1	1.725	25
67.2	1.393	23
68.8	1.365	23